1.
Calculated XRD peak list
Compound: Li8PbAu2
Radiation: Cu Kα (weighted mean of Kα1 and Kα2)
Structure: a GGA-PBE-relaxed structure
Peak positions follow from Bragg's law for the DFT cell and can differ from measured ones.

Cell and atoms:
a = 4.477 Å, b = 4.477 Å, c = 10.487 Å
α = 102.22°, β = 102.22°, γ = 60.03°
Fractional positions:
Li: 0.093 0.093 0.278
Li: 0.183 0.183 0.548
Li: 0.275 0.275 0.825
Li: 0.367 0.367 0.101
Li: 0.633 0.633 0.899
Li: 0.725 0.725 0.175
Li: 0.817 0.817 0.452
Li: 0.907 0.907 0.722
Pb: 0.000 0.000 0.000
Au: 0.454 0.454 0.361
Au: 0.546 0.546 0.639

Main lines, in order of rising 2θ (2θ from 10° to 90°):
2θ (°)  I/Imax
23.7  100
25.8  37
26.3  27
30.9  27
40.0  40
40.3  39
45.2  18
47.3  17
48.7  32
63.8  14

=====

2.
Calculated XRD peak list
Compound: Li2PbAu
Radiation: Cu Kα (weighted mean of Kα1 and Kα2)
Structure: a GGA-PBE-relaxed structure
Peak positions follow from Bragg's law for the DFT cell and can differ from measured ones.

Cell and atoms:
a = 4.747 Å, b = 4.747 Å, c = 6.633 Å
α = 90.00°, β = 90.00°, γ = 90.00°
Fractional positions:
Li: 0.000 0.000 0.000
Li: 0.000 0.500 0.247
Li: 0.500 0.000 0.753
Li: 0.500 0.500 0.500
Pb: 0.000 0.500 0.750
Pb: 0.500 0.000 0.250
Au: 0.000 0.000 0.500
Au: 0.500 0.500 0.000

Main lines, in order of rising 2θ (2θ from 10° to 90°):
2θ (°)  I/Imax
23.0  100
37.9  32
38.1  62
44.8  36
45.2  18
54.7  11
60.5  15
68.6  23
69.1  11
73.3  9

=====

3.
Calculated XRD peak list
Compound: Li4ZnPb2Au
Radiation: Cu Kα (weighted mean of Kα1 and Kα2)
Structure: a GGA-PBE-relaxed structure
Peak positions follow from Bragg's law for the DFT cell and can differ from measured ones.

Cell and atoms:
a = 4.701 Å, b = 4.701 Å, c = 6.618 Å
α = 90.00°, β = 90.00°, γ = 90.00°
Fractional positions:
Li: 0.000 0.000 0.000
Li: 0.000 0.500 0.240
Li: 0.500 0.000 0.760
Li: 0.500 0.500 0.500
Zn: 0.000 0.000 0.500
Pb: 0.000 0.500 0.743
Pb: 0.500 0.000 0.257
Au: 0.500 0.500 0.000

Main lines, in order of rising 2θ (2θ from 10° to 90°):
2θ (°)  I/Imax
23.2  100
38.4  91
45.3  36
45.4  17
55.3  11
60.7  7
60.9  15
69.3  22
69.5  11
74.1  9

=====

4.
Calculated XRD peak list
Compound: LiPdAu2
Radiation: Cu Kα (weighted mean of Kα1 and Kα2)
Structure: a GGA-PBE-relaxed structure
Peak positions follow from Bragg's law for the DFT cell and can differ from measured ones.

Cell and atoms:
a = 4.880 Å, b = 4.880 Å, c = 4.880 Å
α = 130.94°, β = 130.94°, γ = 71.90°
Fractional positions:
Li: 0.000 0.000 0.000
Pd: 0.500 0.500 0.000
Au: 0.250 0.750 0.500
Au: 0.750 0.250 0.500

Main lines, in order of rising 2θ (2θ from 10° to 90°):
2θ (°)  I/Imax
22.5  30
24.7  14
31.2  27
38.8  100
44.7  34
45.9  16
50.6  15
66.1  21
78.5  26
80.2  12

=====

5.
Calculated XRD peak list
Compound: Li4Tl2PtAu
Radiation: Cu Kα (weighted mean of Kα1 and Kα2)
Structure: a GGA-PBE-relaxed structure
Peak positions follow from Bragg's law for the DFT cell and can differ from measured ones.

Cell and atoms:
a = 4.608 Å, b = 4.608 Å, c = 6.522 Å
α = 90.00°, β = 90.00°, γ = 90.00°
Fractional positions:
Li: 0.000 0.000 0.000
Li: 0.000 0.500 0.247
Li: 0.500 0.000 0.753
Li: 0.500 0.500 0.500
Tl: 0.000 0.500 0.761
Tl: 0.500 0.000 0.239
Pt: 0.500 0.500 0.000
Au: 0.000 0.000 0.500

Main lines, in order of rising 2θ (2θ from 10° to 90°):
2θ (°)  I/Imax
23.6  100
39.1  92
46.2  52
56.5  16
62.1  22
70.8  32
75.8  16
84.0  10
88.8  17

=====

6.
Calculated XRD peak list
Compound: LiAuS18
Radiation: Cu Kα (weighted mean of Kα1 and Kα2)
Structure: a GGA-PBE-relaxed structure
Peak positions follow from Bragg's law for the DFT cell and can differ from measured ones.

Cell and atoms:
a = 6.520 Å, b = 9.406 Å, c = 9.895 Å
α = 74.01°, β = 86.02°, γ = 72.55°
Fractional positions:
Li: 0.000 0.000 0.000
Au: 0.000 0.500 0.500
S: 0.044 0.275 0.843
S: 0.117 0.093 0.765
S: 0.161 0.531 0.282
S: 0.189 0.717 0.675
S: 0.301 0.563 0.860
S: 0.397 0.333 0.821
S: 0.414 0.105 0.424
S: 0.450 0.812 0.010
S: 0.453 0.741 0.541
S: 0.547 0.259 0.459
S: 0.550 0.188 0.990
S: 0.586 0.895 0.576
S: 0.603 0.667 0.179
S: 0.699 0.437 0.140
S: 0.811 0.283 0.325
S: 0.839 0.469 0.718
S: 0.883 0.907 0.235
S: 0.956 0.725 0.157

Main lines, in order of rising 2θ (2θ from 10° to 90°):
2θ (°)  I/Imax
10.2  100
11.8  44
16.2  51
16.9  48
20.7  38
24.7  34
28.3  55
29.0  40
30.0  31
31.7  43

=====

7.
Calculated XRD peak list
Compound: LiSnAu3S4
Radiation: Cu Kα (weighted mean of Kα1 and Kα2)
Structure: a GGA-PBE-relaxed structure
Peak positions follow from Bragg's law for the DFT cell and can differ from measured ones.

Cell and atoms:
a = 5.506 Å, b = 8.028 Å, c = 9.192 Å
α = 90.00°, β = 91.45°, γ = 90.00°
Fractional positions:
Li: 0.244 0.250 0.238
Li: 0.756 0.750 0.762
Sn: 0.222 0.750 0.208
Sn: 0.778 0.250 0.792
Au: 0.211 0.077 0.587
Au: 0.211 0.423 0.587
Au: 0.259 0.250 0.921
Au: 0.741 0.750 0.079
Au: 0.789 0.577 0.413
Au: 0.789 0.923 0.413
S: 0.055 0.750 0.563
S: 0.104 0.750 0.943
S: 0.488 0.006 0.782
S: 0.488 0.494 0.782
S: 0.512 0.506 0.218
S: 0.512 0.994 0.218
S: 0.896 0.250 0.057
S: 0.945 0.250 0.437

Main lines, in order of rising 2θ (2θ from 10° to 90°):
2θ (°)  I/Imax
14.7  100
18.6  33
19.6  35
24.2  62
32.5  32
33.1  42
33.8  47
38.6  32
38.8  32
38.9  41

=====

8.
Calculated XRD peak list
Compound: LiZrTe2AuS
Radiation: Cu Kα (weighted mean of Kα1 and Kα2)
Structure: a GGA-PBE-relaxed structure
Peak positions follow from Bragg's law for the DFT cell and can differ from measured ones.

Cell and atoms:
a = 8.028 Å, b = 8.028 Å, c = 10.084 Å
α = 90.00°, β = 90.00°, γ = 151.13°
Fractional positions:
Li: 0.174 0.826 0.750
Li: 0.826 0.174 0.250
Zr: 0.000 0.000 0.000
Zr: 0.000 0.000 0.500
Te: 0.358 0.642 0.019
Te: 0.358 0.642 0.481
Te: 0.642 0.358 0.519
Te: 0.642 0.358 0.981
Au: 0.448 0.552 0.250
Au: 0.552 0.448 0.750
S: 0.049 0.951 0.250
S: 0.951 0.049 0.750

Main lines, in order of rising 2θ (2θ from 10° to 90°):
2θ (°)  I/Imax
11.4  95
14.4  39
22.9  37
24.6  24
29.6  35
33.4  100
35.6  39
39.1  29
45.8  26
50.3  32

=====

9.
Calculated XRD peak list
Compound: Li4SnSbAu2
Radiation: Cu Kα (weighted mean of Kα1 and Kα2)
Structure: a GGA-PBE-relaxed structure
Peak positions follow from Bragg's law for the DFT cell and can differ from measured ones.

Cell and atoms:
a = 4.603 Å, b = 4.603 Å, c = 6.568 Å
α = 90.00°, β = 90.00°, γ = 90.00°
Fractional positions:
Li: 0.000 0.000 0.000
Li: 0.000 0.500 0.749
Li: 0.500 0.000 0.251
Li: 0.500 0.500 0.500
Sn: 0.000 0.000 0.500
Sb: 0.500 0.500 0.000
Au: 0.000 0.500 0.258
Au: 0.500 0.000 0.742

Main lines, in order of rising 2θ (2θ from 10° to 90°):
2θ (°)  I/Imax
23.6  100
39.0  59
39.1  30
45.9  17
46.2  35
56.6  10
61.9  14
70.4  10
70.8  21
75.9  8

=====

10.
Calculated XRD peak list
Compound: LiSnAu3Se4
Radiation: Cu Kα (weighted mean of Kα1 and Kα2)
Structure: a GGA-PBE-relaxed structure
Peak positions follow from Bragg's law for the DFT cell and can differ from measured ones.

Cell and atoms:
a = 6.319 Å, b = 8.704 Å, c = 8.587 Å
α = 90.00°, β = 96.83°, γ = 90.00°
Fractional positions:
Li: 0.244 0.250 0.204
Li: 0.756 0.750 0.796
Sn: 0.298 0.750 0.218
Sn: 0.702 0.250 0.782
Au: 0.178 0.081 0.569
Au: 0.178 0.419 0.569
Au: 0.268 0.250 0.870
Au: 0.732 0.750 0.130
Au: 0.822 0.581 0.431
Au: 0.822 0.919 0.431
Se: 0.037 0.515 0.210
Se: 0.037 0.985 0.210
Se: 0.404 0.750 0.935
Se: 0.480 0.250 0.493
Se: 0.520 0.750 0.507
Se: 0.596 0.250 0.065
Se: 0.963 0.015 0.790
Se: 0.963 0.485 0.790

Main lines, in order of rising 2θ (2θ from 10° to 90°):
2θ (°)  I/Imax
14.5  100
17.4  31
22.9  32
24.9  59
31.5  41
33.0  34
36.2  50
37.5  32
44.7  29
46.1  33

=====

11.
Calculated XRD peak list
Compound: LiTbAu3Se4
Radiation: Cu Kα (weighted mean of Kα1 and Kα2)
Structure: a GGA-PBE-relaxed structure
Peak positions follow from Bragg's law for the DFT cell and can differ from measured ones.

Cell and atoms:
a = 6.180 Å, b = 6.180 Å, c = 6.180 Å
α = 90.00°, β = 90.00°, γ = 90.00°
Fractional positions:
Li: 0.000 0.000 0.000
Tb: 0.500 0.500 0.500
Au: 0.000 0.500 0.500
Au: 0.500 0.000 0.500
Au: 0.500 0.500 0.000
Se: 0.243 0.243 0.243
Se: 0.243 0.757 0.757
Se: 0.757 0.243 0.757
Se: 0.757 0.757 0.243

Main lines, in order of rising 2θ (2θ from 10° to 90°):
2θ (°)  I/Imax
14.3  65
25.0  64
28.9  21
32.4  45
41.3  100
44.0  22
48.9  32
59.9  17
61.9  14
75.3  34

=====

12.
Calculated XRD peak list
Compound: LiTl2AuSe4
Radiation: Cu Kα (weighted mean of Kα1 and Kα2)
Structure: a GGA-PBE-relaxed structure
Peak positions follow from Bragg's law for the DFT cell and can differ from measured ones.

Cell and atoms:
a = 7.534 Å, b = 7.534 Å, c = 7.534 Å
α = 131.79°, β = 131.79°, γ = 70.57°
Fractional positions:
Li: 0.000 0.000 0.000
Tl: 0.250 0.750 0.500
Tl: 0.500 0.500 0.000
Au: 0.750 0.250 0.500
Se: 0.107 0.628 0.983
Se: 0.372 0.355 0.479
Se: 0.645 0.124 0.017
Se: 0.876 0.893 0.521

Main lines, in order of rising 2θ (2θ from 10° to 90°):
2θ (°)  I/Imax
16.1  19
25.1  100
29.0  9
33.4  9
41.5  72
49.1  49
60.2  12
66.2  20
75.7  24
81.2  15